(1)
The following is a theoretical powder XRD pattern of Nb3IrSe8. It was derived from a structure optimized by DFT (PBE), using a wavelength of 1.5418 Å.
Lines closer than 0.1° are merged.

Crystal structure
Cell lengths 6.967, 6.967, 15.232 Å; angles 109.18, 109.18, 59.91 degrees
Element x y z (fractional)
Nb (0.093, 0.907, 0.500)
Nb (0.164, 0.370, 0.496)
Nb (0.370, 0.164, 0.996)
Nb (0.631, 0.896, 0.498)
Nb (0.896, 0.631, 0.998)
Nb (0.907, 0.093, 0.000)
Ir (0.328, 0.629, 0.998)
Ir (0.629, 0.328, 0.498)
Se (0.094, 0.859, 0.129)
Se (0.116, 0.353, 0.117)
Se (0.136, 0.402, 0.867)
Se (0.174, 0.896, 0.883)
Se (0.353, 0.116, 0.617)
Se (0.366, 0.603, 0.613)
Se (0.402, 0.136, 0.367)
Se (0.426, 0.634, 0.399)
Se (0.575, 0.832, 0.097)
Se (0.603, 0.366, 0.113)
Se (0.634, 0.426, 0.899)
Se (0.668, 0.908, 0.879)
Se (0.832, 0.575, 0.597)
Se (0.859, 0.094, 0.629)
Se (0.896, 0.174, 0.383)
Se (0.908, 0.668, 0.379)

Peak list (6 most intense, 10° ≤ 2θ ≤ 90°, low angle first)
d (Å)	2θ (°)	I/Imax
7.047	12.6	100
2.793	32.0	30
2.762	32.4	65
2.280	39.5	28
1.861	48.9	22
1.741	52.6	16

(2)
The following is a theoretical powder XRD pattern of Nb3IrSe8. It was derived from a structure optimized by DFT (PBE), using a wavelength of 1.5418 Å.
Lines closer than 0.1° are merged.

Crystal structure
Cell lengths 6.954, 6.954, 14.878 Å; angles 110.37, 110.37, 60.19 degrees
Element x y z (fractional)
Nb (0.092, 0.369, 0.748)
Nb (0.103, 0.897, 0.750)
Nb (0.369, 0.092, 0.248)
Nb (0.631, 0.908, 0.752)
Nb (0.897, 0.103, 0.250)
Nb (0.908, 0.631, 0.252)
Ir (0.326, 0.674, 0.250)
Ir (0.674, 0.326, 0.750)
Se (0.100, 0.868, 0.385)
Se (0.122, 0.337, 0.374)
Se (0.132, 0.900, 0.115)
Se (0.171, 0.391, 0.131)
Se (0.337, 0.122, 0.874)
Se (0.370, 0.577, 0.852)
Se (0.391, 0.171, 0.631)
Se (0.423, 0.630, 0.648)
Se (0.577, 0.370, 0.352)
Se (0.609, 0.829, 0.369)
Se (0.630, 0.423, 0.148)
Se (0.663, 0.878, 0.126)
Se (0.829, 0.609, 0.869)
Se (0.868, 0.100, 0.885)
Se (0.878, 0.663, 0.626)
Se (0.900, 0.132, 0.615)

Peak list (6 most intense, 10° ≤ 2θ ≤ 90°, low angle first)
d (Å)	2θ (°)	I/Imax
6.811	13.0	100
2.757	32.5	76
2.754	32.5	40
2.258	39.9	66
1.815	50.3	24
1.739	52.6	23

(3)
The following is a theoretical powder XRD pattern of Nb9IrSe20. It was derived from a structure optimized by DFT (PBE), using a wavelength of 1.5418 Å.
Lines closer than 0.1° are merged.

Crystal structure
Cell lengths 6.907, 9.710, 11.533 Å; angles 82.07, 81.42, 69.40 degrees
Element x y z (fractional)
Nb (0.000, 0.000, 0.000)
Nb (0.089, 0.216, 0.217)
Nb (0.196, 0.409, 0.410)
Nb (0.306, 0.591, 0.590)
Nb (0.409, 0.783, 0.781)
Nb (0.591, 0.217, 0.219)
Nb (0.694, 0.409, 0.410)
Nb (0.804, 0.591, 0.590)
Nb (0.911, 0.784, 0.783)
Ir (0.500, 0.000, 0.000)
Se (0.048, 0.691, 0.430)
Se (0.052, 0.510, 0.763)
Se (0.149, 0.721, 0.958)
Se (0.151, 0.882, 0.626)
Se (0.252, 0.930, 0.163)
Se (0.263, 0.069, 0.837)
Se (0.347, 0.121, 0.374)
Se (0.358, 0.267, 0.044)
Se (0.446, 0.491, 0.237)
Se (0.452, 0.310, 0.571)
Se (0.548, 0.690, 0.429)
Se (0.554, 0.509, 0.763)
Se (0.642, 0.733, 0.956)
Se (0.653, 0.879, 0.626)
Se (0.737, 0.931, 0.163)
Se (0.748, 0.070, 0.837)
Se (0.849, 0.118, 0.374)
Se (0.851, 0.279, 0.042)
Se (0.948, 0.490, 0.237)
Se (0.952, 0.309, 0.570)

Peak list (6 most intense, 10° ≤ 2θ ≤ 90°, low angle first)
d (Å)	2θ (°)	I/Imax
6.778	13.1	94
2.772	32.3	48
2.749	32.6	100
2.259	39.9	21
2.251	40.1	49
1.695	54.1	17

(4)
The following is a theoretical powder XRD pattern of NbTe4Ir. It was derived from a structure optimized by DFT (PBE), using a wavelength of 1.5418 Å.
Lines closer than 0.1° are merged.

Crystal structure
Cell lengths 3.825, 12.728, 13.620 Å; angles 90.00, 90.00, 90.00 degrees
Element x y z (fractional)
Nb (0.000, 0.056, 0.000)
Nb (0.000, 0.270, 0.487)
Nb (0.500, 0.730, 0.987)
Nb (0.500, 0.944, 0.500)
Te (0.000, 0.066, 0.390)
Te (0.000, 0.195, 0.853)
Te (0.000, 0.347, 0.088)
Te (0.000, 0.413, 0.630)
Te (0.000, 0.563, 0.394)
Te (0.000, 0.676, 0.847)
Te (0.000, 0.851, 0.099)
Te (0.000, 0.890, 0.640)
Te (0.500, 0.110, 0.140)
Te (0.500, 0.149, 0.599)
Te (0.500, 0.324, 0.347)
Te (0.500, 0.437, 0.894)
Te (0.500, 0.587, 0.130)
Te (0.500, 0.653, 0.588)
Te (0.500, 0.805, 0.353)
Te (0.500, 0.934, 0.890)
Ir (0.000, 0.536, 0.996)
Ir (0.000, 0.752, 0.488)
Ir (0.500, 0.248, 0.988)
Ir (0.500, 0.464, 0.496)

Peak list (6 most intense, 10° ≤ 2θ ≤ 90°, low angle first)
d (Å)	2θ (°)	I/Imax
6.810	13.0	100
3.099	28.8	26
2.954	30.3	92
2.658	33.7	77
2.095	43.2	43
1.839	49.6	31

(5)
The following is a theoretical powder XRD pattern of Nd4Ir. It was derived from a structure optimized by DFT (PBE), using a wavelength of 1.5418 Å.
Lines closer than 0.1° are merged.

Crystal structure
Cell lengths 7.959, 7.959, 7.959 Å; angles 60.00, 60.00, 60.00 degrees
Element x y z (fractional)
Nd (0.210, 0.763, 0.763)
Nd (0.237, 0.237, 0.237)
Nd (0.237, 0.237, 0.790)
Nd (0.237, 0.790, 0.237)
Nd (0.763, 0.210, 0.763)
Nd (0.763, 0.763, 0.210)
Nd (0.763, 0.763, 0.763)
Nd (0.790, 0.237, 0.237)
Ir (0.375, 0.375, 0.375)
Ir (0.625, 0.625, 0.625)

Peak list (6 most intense, 10° ≤ 2θ ≤ 90°, low angle first)
d (Å)	2θ (°)	I/Imax
3.980	22.3	33
3.249	27.4	100
2.582	34.7	32
2.166	41.7	28
1.990	45.6	61
1.697	54.0	36

(6)
The following is a theoretical powder XRD pattern of NdIr5. It was derived from a structure optimized by DFT (PBE), using a wavelength of 1.5418 Å.
Lines closer than 0.1° are merged.

Crystal structure
Cell lengths 5.360, 5.360, 4.329 Å; angles 90.00, 90.00, 120.00 degrees
Element x y z (fractional)
Nd (0.000, 0.000, 0.000)
Ir (0.000, 0.500, 0.500)
Ir (0.333, 0.667, 0.000)
Ir (0.500, 0.000, 0.500)
Ir (0.500, 0.500, 0.500)
Ir (0.667, 0.333, 0.000)

Peak list (6 most intense, 10° ≤ 2θ ≤ 90°, low angle first)
d (Å)	2θ (°)	I/Imax
4.642	19.1	33
2.321	38.8	28
2.279	39.6	100
2.164	41.7	34
2.045	44.3	54
1.139	85.2	27

(7)
The following is a theoretical powder XRD pattern of Nd5Ir3. It was derived from a structure optimized by DFT (PBE), using a wavelength of 1.5418 Å.
Lines closer than 0.1° are merged.

Crystal structure
Cell lengths 11.262, 11.262, 6.605 Å; angles 90.00, 90.00, 90.00 degrees
Element x y z (fractional)
Nd (0.042, 0.160, 0.118)
Nd (0.042, 0.340, 0.618)
Nd (0.160, 0.042, 0.618)
Nd (0.160, 0.458, 0.118)
Nd (0.250, 0.750, 0.000)
Nd (0.250, 0.750, 0.500)
Nd (0.340, 0.042, 0.118)
Nd (0.340, 0.458, 0.618)
Nd (0.458, 0.160, 0.618)
Nd (0.458, 0.340, 0.118)
Nd (0.542, 0.660, 0.882)
Nd (0.542, 0.840, 0.382)
Nd (0.660, 0.542, 0.382)
Nd (0.660, 0.958, 0.882)
Nd (0.750, 0.250, 0.000)
Nd (0.750, 0.250, 0.500)
Nd (0.840, 0.542, 0.882)
Nd (0.840, 0.958, 0.382)
Nd (0.958, 0.660, 0.382)
Nd (0.958, 0.840, 0.882)
Ir (0.096, 0.596, 0.750)
Ir (0.096, 0.904, 0.250)
Ir (0.250, 0.250, 0.380)
Ir (0.250, 0.250, 0.880)
Ir (0.404, 0.596, 0.250)
Ir (0.404, 0.904, 0.750)
Ir (0.596, 0.096, 0.250)
Ir (0.596, 0.404, 0.750)
Ir (0.750, 0.750, 0.120)
Ir (0.750, 0.750, 0.620)
Ir (0.904, 0.096, 0.750)
Ir (0.904, 0.404, 0.250)

Peak list (6 most intense, 10° ≤ 2θ ≤ 90°, low angle first)
d (Å)	2θ (°)	I/Imax
4.005	22.2	24
3.135	28.5	36
2.824	31.7	32
2.762	32.4	42
2.521	35.6	100
2.422	37.1	28

(8)
The following is a theoretical powder XRD pattern of NdIr3. It was derived from a structure optimized by DFT (PBE), using a wavelength of 1.5418 Å.
Lines closer than 0.1° are merged.

Crystal structure
Cell lengths 4.134, 4.134, 4.134 Å; angles 90.00, 90.00, 90.00 degrees
Element x y z (fractional)
Nd (0.000, 0.000, 0.000)
Ir (0.000, 0.500, 0.500)
Ir (0.500, 0.000, 0.500)
Ir (0.500, 0.500, 0.000)

Peak list (6 most intense, 10° ≤ 2θ ≤ 90°, low angle first)
d (Å)	2θ (°)	I/Imax
4.134	21.5	1
2.387	37.7	100
2.067	43.8	49
1.462	63.7	33
1.246	76.4	39
1.193	80.5	11

(9)
The following is a theoretical powder XRD pattern of NdIr3. It was derived from a structure optimized by DFT (PBE), using a wavelength of 1.5418 Å.
Lines closer than 0.1° are merged.

Crystal structure
Cell lengths 9.377, 9.377, 9.377 Å; angles 33.35, 33.35, 33.35 degrees
Element x y z (fractional)
Nd (0.000, 0.000, 0.000)
Nd (0.139, 0.139, 0.139)
Nd (0.861, 0.861, 0.861)
Ir (0.083, 0.579, 0.579)
Ir (0.332, 0.332, 0.332)
Ir (0.421, 0.421, 0.917)
Ir (0.421, 0.917, 0.421)
Ir (0.500, 0.500, 0.500)
Ir (0.579, 0.083, 0.579)
Ir (0.579, 0.579, 0.083)
Ir (0.668, 0.668, 0.668)
Ir (0.917, 0.421, 0.421)

Peak list (6 most intense, 10° ≤ 2θ ≤ 90°, low angle first)
d (Å)	2θ (°)	I/Imax
4.590	19.3	24
2.321	38.8	26
2.298	39.2	100
2.212	40.8	24
2.134	42.4	37
1.345	69.9	24

(10)
The following is a theoretical powder XRD pattern of NdIr2. It was derived from a structure optimized by DFT (PBE), using a wavelength of 1.5418 Å.
Lines closer than 0.1° are merged.

Crystal structure
Cell lengths 5.443, 5.443, 5.443 Å; angles 60.00, 60.00, 60.00 degrees
Element x y z (fractional)
Nd (0.125, 0.125, 0.125)
Nd (0.875, 0.875, 0.875)
Ir (0.000, 0.500, 0.500)
Ir (0.500, 0.000, 0.500)
Ir (0.500, 0.500, 0.000)
Ir (0.500, 0.500, 0.500)

Peak list (6 most intense, 10° ≤ 2θ ≤ 90°, low angle first)
d (Å)	2θ (°)	I/Imax
2.722	32.9	19
2.321	38.8	100
2.222	40.6	50
1.481	62.7	33
1.361	69.0	30
1.160	83.3	19

(11)
The following is a theoretical powder XRD pattern of Nd3Ir. It was derived from a structure optimized by DFT (PBE), using a wavelength of 1.5418 Å.
Lines closer than 0.1° are merged.

Crystal structure
Cell lengths 7.401, 9.868, 6.556 Å; angles 90.00, 90.00, 90.00 degrees
Element x y z (fractional)
Nd (0.034, 0.250, 0.138)
Nd (0.175, 0.065, 0.671)
Nd (0.175, 0.435, 0.671)
Nd (0.325, 0.565, 0.171)
Nd (0.325, 0.935, 0.171)
Nd (0.466, 0.750, 0.638)
Nd (0.534, 0.250, 0.362)
Nd (0.675, 0.065, 0.829)
Nd (0.675, 0.435, 0.829)
Nd (0.825, 0.565, 0.329)
Nd (0.825, 0.935, 0.329)
Nd (0.966, 0.750, 0.862)
Ir (0.117, 0.750, 0.439)
Ir (0.383, 0.250, 0.939)
Ir (0.617, 0.750, 0.061)
Ir (0.883, 0.250, 0.561)

Peak list (6 most intense, 10° ≤ 2θ ≤ 90°, low angle first)
d (Å)	2θ (°)	I/Imax
2.960	30.2	50
2.940	30.4	54
2.868	31.2	100
2.732	32.8	99
2.698	33.2	70
2.458	36.6	54

(12)
The following is a theoretical powder XRD pattern of Nd2NiIr. It was derived from a structure optimized by DFT (PBE), using a wavelength of 1.5418 Å.
Lines closer than 0.1° are merged.

Crystal structure
Cell lengths 7.079, 7.079, 7.079 Å; angles 90.00, 90.00, 90.00 degrees
Element x y z (fractional)
Nd (0.250, 0.250, 0.250)
Nd (0.250, 0.250, 0.750)
Nd (0.250, 0.750, 0.250)
Nd (0.250, 0.750, 0.750)
Nd (0.750, 0.250, 0.250)
Nd (0.750, 0.250, 0.750)
Nd (0.750, 0.750, 0.250)
Nd (0.750, 0.750, 0.750)
Ni (0.000, 0.000, 0.000)
Ni (0.000, 0.500, 0.500)
Ni (0.500, 0.000, 0.500)
Ni (0.500, 0.500, 0.000)
Ir (0.000, 0.000, 0.500)
Ir (0.000, 0.500, 0.000)
Ir (0.500, 0.000, 0.000)
Ir (0.500, 0.500, 0.500)

Peak list (6 most intense, 10° ≤ 2θ ≤ 90°, low angle first)
d (Å)	2θ (°)	I/Imax
4.087	21.7	12
2.503	35.9	100
1.770	51.6	18
1.445	64.5	36
1.251	76.1	11
1.119	87.1	16